Starting from a cell relaxed with GGA+U, the XRD peak list of SrCaNbWO6 was simulated for copper Kα.
Neutral-atom scattering factors, no anomalous dispersion.

Structure:
a = 8.2037 Å, b = 8.2037 Å, c = 8.2037 Å
α = 90.00°, β = 90.00°, γ = 90.00°
Space group F-43m (No. 216)
Asymmetric unit:
Sr 0.0000 0.0000 0.0000
Ca 0.0000 0.0000 0.5000
Nb 0.2500 0.2500 0.2500
W 0.2500 0.2500 0.7500
O 0.0065 0.2500 0.2500

Most intense lines, 2θ = 10–80°, in order of rising 2θ:
| Position (°2θ) | d [Å] | Rel. int. |
| --- | --- | --- |
| 21.67 | 4.102 | 28 |
| 30.83 | 2.900 | 100 |
| 44.16 | 2.051 | 33 |
| 54.82 | 1.675 | 40 |
| 64.23 | 1.450 | 20 |
| 72.93 | 1.297 | 17 |